Record 1
Rb2PHCl6: theoretical X-ray diffraction stick pattern (λ = 1.5418 Å (Cu Kα)), based on the PBE geometry in Alexandria.
Intensities are scaled so that the largest is 100.

Top 8 peaks for 2θ from 10° to 90°, low angle first:
d 3.925, I 24; d 3.518, I 48; d 2.971, I 100; d 2.828, I 17; d 2.776, I 65; d 1.963, I 18; d 1.759, I 17; d 1.638, I 20

Atomic structure:
```
Rb2PHCl6
1.0
-3.9253 3.9253 4.5469
3.9253 -3.9253 4.5469
3.9253 3.9253 -4.5469
Rb P H Cl
2 1 1 6
direct
0.2500 0.7500 0.5000
0.7500 0.2500 0.5000
0.0000 0.0000 0.0000
0.5000 0.5000 0.0000
0.2103 0.2103 0.4206
0.2103 0.7897 0.0000
0.3261 0.3261 0.0000
0.6739 0.6739 0.0000
0.7897 0.2103 0.0000
0.7897 0.7897 0.5794
```

=====

Record 2
PaH2Cl4: theoretical X-ray diffraction stick pattern (λ = 1.5418 Å (Cu Kα)), based on the PBE geometry in Alexandria.
Intensities are scaled so that the largest is 100.

Top 8 peaks for 2θ from 10° to 90°, low angle first:
d 6.576, I 100; d 5.371, I 68; d 5.193, I 52; d 4.284, I 65; d 3.927, I 26; d 3.288, I 30; d 2.969, I 59; d 2.352, I 28

Atomic structure:
```
PaH2Cl4
1.0
5.7710 -2.3512 0.0000
5.7710 2.3512 0.0000
-3.1863 0.0000 6.5756
Pa H Cl
1 2 4
direct
0.0000 0.0000 0.0000
0.1772 0.1772 0.9975
0.8228 0.8228 0.0025
0.1090 0.1090 0.3796
0.3715 0.3715 0.0038
0.6285 0.6285 0.9962
0.8910 0.8910 0.6204
```

=====

Record 3
PaHCl6: theoretical X-ray diffraction stick pattern (λ = 1.5418 Å (Cu Kα)), based on the PBE geometry in Alexandria.
Intensities are scaled so that the largest is 100.

Top 8 peaks for 2θ from 10° to 90°, low angle first:
d 6.109, I 100; d 5.931, I 51; d 5.691, I 40; d 5.291, I 39; d 5.145, I 32; d 5.040, I 26; d 3.215, I 25; d 3.089, I 29

Atomic structure:
```
PaHCl6
1.0
7.1151 0.0000 0.0000
3.2271 6.3461 0.0000
3.4446 1.6771 6.1014
Pa H Cl
1 1 6
direct
0.0000 0.0000 0.0000
0.0000 0.5000 0.0000
0.1036 0.7810 0.3356
0.1901 0.2960 0.9217
0.3728 0.7878 0.7754
0.6272 0.2122 0.2246
0.8099 0.7040 0.0783
0.8964 0.2190 0.6644
```

=====

Record 4
PaHCl3: theoretical X-ray diffraction stick pattern (λ = 1.5418 Å (Cu Kα)), based on the PBE geometry in Alexandria.
Intensities are scaled so that the largest is 100.

Top 8 peaks for 2θ from 10° to 90°, low angle first:
d 7.674, I 100; d 5.670, I 40; d 5.259, I 58; d 3.875, I 29; d 3.540, I 74; d 2.762, I 41; d 2.567, I 27; d 2.309, I 29

Atomic structure:
```
PaHCl3
1.0
7.6959 0.0000 0.0000
0.0000 3.9803 0.0000
-0.5842 0.0000 7.7503
Pa H Cl
2 2 6
direct
0.1384 0.2500 0.2652
0.8616 0.7500 0.7348
0.3656 0.2500 0.4022
0.6344 0.7500 0.5978
0.1048 0.2500 0.8669
0.1706 0.7500 0.5289
0.3478 0.7500 0.1513
0.6522 0.2500 0.8487
0.8294 0.2500 0.4711
0.8952 0.7500 0.1331
```

=====

Record 5
PaHCl3: theoretical X-ray diffraction stick pattern (λ = 1.5418 Å (Cu Kα)), based on the PBE geometry in Alexandria.
Intensities are scaled so that the largest is 100.

Top 8 peaks for 2θ from 10° to 90°, low angle first:
d 5.805, I 90; d 5.378, I 100; d 4.216, I 46; d 3.631, I 62; d 3.237, I 78; d 2.652, I 35; d 2.193, I 50; d 2.142, I 33

Atomic structure:
```
PaHCl3
1.0
-4.2163 4.0022 3.6308
4.2163 -4.0022 3.6308
4.2163 4.0022 -3.6308
Pa H Cl
2 2 6
direct
0.1260 0.2500 0.3760
0.8740 0.7500 0.6240
0.5333 0.4468 0.5866
0.8602 0.9468 0.4134
0.1713 0.5490 0.7489
0.1713 0.9224 0.1223
0.3104 0.1091 0.7013
0.4078 0.6091 0.2987
0.8001 0.0490 0.8777
0.8001 0.4224 0.2511
```

=====

Record 6
PaH2Cl2: theoretical X-ray diffraction stick pattern (λ = 1.5418 Å (Cu Kα)), based on the PBE geometry in Alexandria.
Intensities are scaled so that the largest is 100.

Top 8 peaks for 2θ from 10° to 90°, low angle first:
d 7.472, I 100; d 3.174, I 44; d 3.083, I 18; d 2.783, I 53; d 2.608, I 30; d 2.110, I 24; d 1.851, I 16; d 1.797, I 17

Atomic structure:
```
PaH2Cl2
1.0
1.8514 1.0689 7.4718
-1.8514 1.0689 7.4718
0.0000 -2.1378 7.4718
Pa H Cl
1 2 2
direct
0.0000 0.0000 0.0000
0.3535 0.3535 0.3535
0.6465 0.6465 0.6465
0.2437 0.2437 0.2437
0.7563 0.7563 0.7563
```